# 1
This entry pairs a crystal structure of AlPd4Se with its computed powder diffractogram. Radiation: a wavelength of 1.5418 Å. Structure: DFT lattice parameters and positions (PBE).
Lines closer than 0.1° are merged.

Peak list (10 most intense, 2θ = 5–70°, sorted by position)
d/Å  2theta  Rel. int.
2.515  35.7  100
2.473  36.3  20
2.412  37.3  28
2.334  38.6  62
2.276  39.6  40
2.220  40.6  59
2.162  41.8  22
2.079  43.5  32
1.862  48.9  40
1.387  67.5  17

Atomic structure:
Lattice parameters (Å, degrees): 6.458 3.723 16.061 90.00 90.00 90.00
Fractional positions:
Al: 0.173 0.250 0.195
Al: 0.327 0.750 0.695
Al: 0.673 0.250 0.305
Al: 0.827 0.750 0.805
Pd: 0.057 0.250 0.339
Pd: 0.059 0.750 0.935
Pd: 0.115 0.250 0.784
Pd: 0.239 0.250 0.598
Pd: 0.261 0.750 0.098
Pd: 0.385 0.750 0.284
Pd: 0.441 0.250 0.435
Pd: 0.443 0.750 0.839
Pd: 0.557 0.250 0.161
Pd: 0.559 0.750 0.565
Pd: 0.615 0.250 0.716
Pd: 0.739 0.250 0.902
Pd: 0.761 0.750 0.402
Pd: 0.885 0.750 0.216
Pd: 0.941 0.250 0.065
Pd: 0.943 0.750 0.661
Se: 0.176 0.750 0.439
Se: 0.324 0.250 0.939
Se: 0.676 0.750 0.061
Se: 0.824 0.250 0.561



# 2
This entry pairs a crystal structure of AlPdSe with its computed powder diffractogram. Radiation: a wavelength of 1.5418 Å. Structure: DFT lattice parameters and positions (PBE).
Lines closer than 0.1° are merged.

Peak list (10 most intense, 2θ = 5–70°, sorted by position)
d/Å  2theta  Rel. int.
3.609  24.7  100
3.111  28.7  68
2.589  34.7  43
2.535  35.4  67
2.397  37.5  28
2.273  39.7  52
2.184  41.3  50
2.092  43.2  64
2.004  45.2  37
1.913  47.5  33

Atomic structure:
Lattice parameters (Å, degrees): 4.225 4.750 5.700 90.00 103.06 90.00
Fractional positions:
Al: 0.100 0.000 0.392
Al: 0.900 0.500 0.608
Pd: 0.331 0.484 0.337
Pd: 0.669 0.984 0.663
Se: 0.234 0.190 0.907
Se: 0.766 0.690 0.093



# 3
This entry pairs a crystal structure of Al4SiPd10 with its computed powder diffractogram. Radiation: a wavelength of 1.5418 Å. Structure: DFT lattice parameters and positions (PBE).
Lines closer than 0.1° are merged.

Peak list (10 most intense, 2θ = 5–70°, sorted by position)
d/Å  2theta  Rel. int.
17.007  5.2  1
3.402  26.2  1
3.336  26.7  4
2.903  30.8  100
2.068  43.8  61
2.038  44.5  60
1.767  51.7  1
1.701  53.9  6
1.668  55.1  19
1.451  64.2  19

Atomic structure:
Lattice parameters (Å, degrees): 17.169 17.169 17.169 13.63 13.63 13.63
Fractional positions:
Al: 0.101 0.101 0.101
Al: 0.300 0.300 0.300
Al: 0.700 0.700 0.700
Al: 0.899 0.899 0.899
Si: 0.500 0.500 0.500
Pd: 0.051 0.051 0.051
Pd: 0.151 0.151 0.151
Pd: 0.249 0.249 0.249
Pd: 0.350 0.350 0.350
Pd: 0.452 0.452 0.452
Pd: 0.548 0.548 0.548
Pd: 0.650 0.650 0.650
Pd: 0.751 0.751 0.751
Pd: 0.849 0.849 0.849
Pd: 0.949 0.949 0.949



# 4
This entry pairs a crystal structure of Al3SiPd4 with its computed powder diffractogram. Radiation: a wavelength of 1.5418 Å. Structure: DFT lattice parameters and positions (PBE).
Lines closer than 0.1° are merged.

Peak list (10 most intense, 2θ = 5–70°, sorted by position)
d/Å  2theta  Rel. int.
3.481  25.6  38
3.430  26.0  40
2.835  31.6  36
2.781  32.2  11
2.443  36.8  16
2.198  41.1  100
2.173  41.6  88
2.010  45.1  18
2.000  45.3  44
1.971  46.0  22

Atomic structure:
Lattice parameters (Å, degrees): 4.888 4.888 4.888 90.83 90.83 90.83
Fractional positions:
Al: 0.041 0.734 0.225
Al: 0.225 0.041 0.734
Al: 0.734 0.225 0.041
Si: 0.539 0.539 0.539
Pd: 0.025 0.532 0.727
Pd: 0.240 0.240 0.240
Pd: 0.532 0.727 0.025
Pd: 0.727 0.025 0.532



# 5
This entry pairs a crystal structure of SrAl2SiPd4 with its computed powder diffractogram. Radiation: a wavelength of 1.5418 Å. Structure: DFT lattice parameters and positions (PBE).
Lines closer than 0.1° are merged.

Peak list (10 most intense, 2θ = 5–70°, sorted by position)
d/Å  2theta  Rel. int.
9.088  9.7  51
3.609  24.7  17
3.281  27.2  23
3.086  28.9  32
2.699  33.2  87
2.520  35.6  30
2.161  41.8  100
2.067  43.8  39
1.728  53.0  14
1.687  54.4  21

Atomic structure:
Lattice parameters (Å, degrees): 9.424 9.424 9.424 26.51 26.51 26.51
Fractional positions:
Sr: 0.000 0.000 0.000
Al: 0.238 0.238 0.238
Al: 0.762 0.762 0.762
Si: 0.500 0.500 0.500
Pd: 0.139 0.139 0.139
Pd: 0.412 0.412 0.412
Pd: 0.588 0.588 0.588
Pd: 0.861 0.861 0.861



# 6
This entry pairs a crystal structure of TbAl2SiPd4 with its computed powder diffractogram. Radiation: a wavelength of 1.5418 Å. Structure: DFT lattice parameters and positions (PBE).
Lines closer than 0.1° are merged.

Peak list (10 most intense, 2θ = 5–70°, sorted by position)
d/Å  2theta  Rel. int.
3.569  25.0  29
3.211  27.8  11
3.004  29.7  39
2.602  34.5  72
2.419  37.2  60
2.146  42.1  100
1.967  46.2  16
1.700  53.9  9
1.656  55.5  18
1.606  57.4  17

Atomic structure:
Lattice parameters (Å, degrees): 8.852 8.852 8.852 28.06 28.06 28.06
Fractional positions:
Tb: 0.000 0.000 0.000
Al: 0.245 0.245 0.245
Al: 0.755 0.755 0.755
Si: 0.500 0.500 0.500
Pd: 0.136 0.136 0.136
Pd: 0.405 0.405 0.405
Pd: 0.595 0.595 0.595
Pd: 0.864 0.864 0.864